For Cs8Ga11, a PBE-relaxed structure gives the computed powder diffractogram in this record (λ = 1.5418 Å (Cu Kα)).

Largest 10 diffraction maxima, by angle, 2θ from 10° to 90°:
| Position (°2θ) | I/Imax |
| --- | --- |
| 10.7 | 38 |
| 20.4 | 67 |
| 23.5 | 73 |
| 24.6 | 66 |
| 26.7 | 33 |
| 26.9 | 59 |
| 30.6 | 75 |
| 31.5 | 100 |
| 37.0 | 29 |
| 44.6 | 36 |

Cell and atoms:
a b c (Å): 18.1335 18.1335 18.1335
angles (deg): 32.44 32.44 32.44
Positions (direct):
Cs 0.0778 0.0778 0.0778
Cs 0.0971 0.6577 0.3136
Cs 0.1577 0.5971 0.8136
Cs 0.1864 0.8423 0.4029
Cs 0.3136 0.0971 0.6577
Cs 0.3423 0.6864 0.9029
Cs 0.4029 0.1864 0.8423
Cs 0.4222 0.4222 0.4222
Cs 0.5778 0.5778 0.5778
Cs 0.5971 0.8136 0.1577
Cs 0.6577 0.3136 0.0971
Cs 0.6864 0.9029 0.3423
Cs 0.8136 0.1577 0.5971
Cs 0.8423 0.4029 0.1864
Cs 0.9029 0.3423 0.6864
Cs 0.9222 0.9222 0.9222
Ga 0.0249 0.5328 0.2735
Ga 0.0328 0.5249 0.7735
Ga 0.0631 0.2500 0.4369
Ga 0.2059 0.2059 0.2059
Ga 0.2265 0.9672 0.4751
Ga 0.2500 0.4369 0.0631
Ga 0.2735 0.0249 0.5328
Ga 0.2941 0.2941 0.2941
Ga 0.4369 0.0631 0.2500
Ga 0.4672 0.7265 0.9751
Ga 0.4751 0.2265 0.9672
Ga 0.5249 0.7735 0.0328
Ga 0.5328 0.2735 0.0249
Ga 0.5631 0.9369 0.7500
Ga 0.7059 0.7059 0.7059
Ga 0.7265 0.9751 0.4672
Ga 0.7500 0.5631 0.9369
Ga 0.7735 0.0328 0.5249
Ga 0.7941 0.7941 0.7941
Ga 0.9369 0.7500 0.5631
Ga 0.9672 0.4751 0.2265
Ga 0.9751 0.4672 0.7265